Record 1
Starting from a DFT-relaxed cell (PBE, Alexandria), the powder X-ray diffraction pattern of NaTbMgCl6 was calculated for Cu Kα.
No peak broadening, texture or thermal motion is included.

Crystal structure
```
NaTbMgCl6
1.0
6.7013 0.0000 0.0000
-3.3506 5.8035 0.0000
0.0000 0.0000 12.5112
Na Tb Mg Cl
2 2 2 12
Cartesian
0.0000 0.0000 0.0000
0.0000 0.0000 6.2556
0.0000 3.8690 3.1278
3.3506 1.9345 9.3834
0.0000 3.8690 9.3834
3.3506 1.9345 3.1278
-1.1222 2.1203 7.9309
-2.0755 3.7715 10.8359
1.1222 2.1203 10.8359
-0.9533 5.7152 7.9309
2.3973 0.0883 1.6753
1.2751 2.0320 4.5803
2.0755 3.7715 7.9309
0.9533 5.7152 10.8359
4.3040 0.0883 4.5803
2.2284 3.6832 1.6753
5.4261 2.0320 1.6753
4.4728 3.6832 4.5803
```

Principal peaks in the range 2θ from 10° to 90°, low angle first:
| two_theta | I_rel |
| --- | --- |
| 14.16 | 64 |
| 16.84 | 80 |
| 20.88 | 65 |
| 30.26 | 100 |
| 39.41 | 85 |
| 46.97 | 41 |

Record 2
Starting from a DFT-relaxed cell (PBE, Alexandria), the powder X-ray diffraction pattern of NbVNi2 was calculated for Cu Kα.
No peak broadening, texture or thermal motion is included.

Crystal structure
```
NbVNi2
1.0
6.2719 0.0000 0.0000
0.0000 3.5023 0.0000
0.0000 0.0000 9.8606
Nb V Ni
4 4 8
Cartesian
1.4007 0.8756 1.7779
1.7352 2.6267 6.7082
4.5367 0.8756 3.1524
4.8712 2.6267 8.0827
0.3936 2.6267 4.0682
2.7423 0.8756 8.9984
3.5296 2.6267 0.8621
5.8783 0.8756 5.7924
0.4548 0.8756 8.1034
1.0165 2.6267 9.6729
2.1194 0.8756 4.7426
2.6812 2.6267 3.1731
3.5907 0.8756 6.6875
4.1525 2.6267 5.1180
5.2554 0.8756 0.1877
5.8171 2.6267 1.7572
```

Principal peaks in the range 2θ from 10° to 90°, low angle first:
| two_theta | I_rel |
| --- | --- |
| 39.27 | 20 |
| 39.65 | 69 |
| 40.28 | 100 |
| 42.83 | 43 |
| 47.22 | 25 |
| 52.24 | 29 |

Record 3
Starting from a DFT-relaxed cell (PBE, Alexandria), the powder X-ray diffraction pattern of Ce3Ru was calculated for Cu Kα.
No peak broadening, texture or thermal motion is included.

Crystal structure
```
Ce3Ru
1.0
-5.7209 5.7209 2.8801
5.7209 -5.7209 2.8801
5.7209 5.7209 -2.8801
Ce Ru
12 4
Cartesian
4.0112 0.0000 0.0000
7.4305 0.0000 0.0000
2.2952 -2.2952 1.4778
4.6968 4.6968 -1.6295
1.0241 1.0241 1.2506
0.0000 4.0112 0.0000
-2.2952 2.2952 1.4778
3.4257 3.4257 1.4024
0.0000 7.4305 0.0000
1.0241 -1.0241 4.5096
-1.0241 1.0241 4.5096
2.2952 2.2952 4.2825
5.7209 2.3082 0.0000
2.3082 5.7209 0.0000
3.4127 0.0000 2.8801
0.0000 3.4127 2.8801
```

Principal peaks in the range 2θ from 10° to 90°, low angle first:
| two_theta | I_rel |
| --- | --- |
| 32.21 | 89 |
| 33.01 | 65 |
| 33.22 | 62 |
| 35.07 | 36 |
| 35.92 | 100 |
| 38.37 | 55 |